1.
The following is a simulated X-ray diffraction stick pattern of SrAgGe2. It was derived from a DFT-relaxed cell (GGA-PBE, Alexandria), using Cu Kα X-rays.
No peak broadening, texture or thermal motion is included.

Crystal structure
a = 14.635 Å, b = 4.488 Å, c = 11.475 Å
α = 90.00°, β = 90.00°, γ = 90.00°
Space group Pnma (No. 62)
One atom of each set of equivalent atoms:
1 Sr 0.050 0.250 0.244 (multiplicity 4)
2 Sr 0.204 0.750 0.518 (multiplicity 4)
3 Ag 0.057 0.250 0.948 (multiplicity 4)
4 Ag 0.198 0.750 0.816 (multiplicity 4)
5 Ge 0.038 0.250 0.527 (multiplicity 4)
6 Ge 0.113 0.250 0.725 (multiplicity 4)
7 Ge 0.130 0.750 0.037 (multiplicity 4)
8 Ge 0.212 0.750 0.231 (multiplicity 4)

The 6 most intense peaks (10 to 90 degrees two-theta), in order of rising 2θ:
| 2θ (°) | I/Imax | h k l |
| --- | --- | --- |
| 31.18 | 30 | 0 0 4 |
| 31.33 | 24 | 1 1 3 |
| 31.55 | 100 | 4 1 0 |
| 33.12 | 28 | 2 1 3 |
| 40.19 | 42 | 0 2 0 |
| 44.95 | 22 | 4 1 4 |


2.
The following is a simulated X-ray diffraction stick pattern of Sm5ThSc3. It was derived from a DFT-relaxed cell (GGA-PBE, Alexandria), using Cu Kα X-rays.
No peak broadening, texture or thermal motion is included.

Crystal structure
a = 14.723 Å, b = 11.454 Å, c = 9.684 Å
α = 90.00°, β = 130.48°, γ = 90.00°
Space group C2/m (No. 12)
One atom of each set of equivalent atoms:
1 Sm 0.000 0.247 0.000 (multiplicity 4)
2 Sm 0.130 0.248 0.747 (multiplicity 8)
3 Sm 0.235 0.000 0.239 (multiplicity 4)
4 Sm 0.249 0.000 0.589 (multiplicity 4)
5 Th 0.230 0.500 0.057 (multiplicity 4)
6 Sc 0.000 0.000 0.500 (multiplicity 2)
7 Sc 0.000 0.500 0.000 (multiplicity 2)
8 Sc 0.007 0.000 0.828 (multiplicity 4)
9 Sc 0.009 0.500 0.347 (multiplicity 4)

The 6 most intense peaks (10 to 90 degrees two-theta), in order of rising 2θ:
| 2θ (°) | I/Imax | h k l |
| --- | --- | --- |
| 22.20 | 96 | 2 2 0 |
| 29.94 | 64 | 2 2 1 |
| 31.24 | 100 | 0 4 0 |
| 32.79 | 96 | 1 1 -3 |
| 33.13 | 59 | 5 1 -3 |
| 35.70 | 67 | 4 2 0 |


3.
The following is a simulated X-ray diffraction stick pattern of Tb13Zn2. It was derived from a DFT-relaxed cell (GGA-PBE, Alexandria), using Cu Kα X-rays.
No peak broadening, texture or thermal motion is included.

Crystal structure
a = 6.650 Å, b = 8.431 Å, c = 8.875 Å
α = 65.87°, β = 79.01°, γ = 82.63°
Space group P-1 (No. 2)
One atom of each set of equivalent atoms:
1 Tb 0.000 0.000 0.000 (multiplicity 1)
2 Tb 0.123 0.476 0.730 (multiplicity 2)
3 Tb 0.194 0.236 0.148 (multiplicity 2)
4 Tb 0.240 0.946 0.574 (multiplicity 2)
5 Tb 0.308 0.660 0.968 (multiplicity 2)
6 Tb 0.357 0.412 0.391 (multiplicity 2)
7 Tb 0.492 0.860 0.207 (multiplicity 2)
8 Zn 0.058 0.767 0.382 (multiplicity 2)

The 6 most intense peaks (10 to 90 degrees two-theta), in order of rising 2θ:
| 2θ (°) | I/Imax | h k l |
| --- | --- | --- |
| 31.32 | 39 | 1 1 3 |
| 32.29 | 56 | -2 1 1 |
| 32.43 | 100 | 2 2 1 |
| 33.28 | 93 | 0 3 2 |
| 48.67 | 16 | 1 4 0 |
| 58.75 | 18 | -2 4 3 |


4.
The following is a simulated X-ray diffraction stick pattern of Er8C3Se3N. It was derived from a DFT-relaxed cell (GGA-PBE, Alexandria), using Cu Kα X-rays.
No peak broadening, texture or thermal motion is included.

Crystal structure
a = 7.3382 Å, b = 7.3382 Å, c = 19.3827 Å
α = 90.00°, β = 90.00°, γ = 120.00°
Space group R-3m (No. 166, hexagonal axes)
One atom of each set of equivalent atoms:
1 Er 0.0000 0.0000 0.2343 (multiplicity 6)
2 Er 0.0032 0.5016 0.7660 (multiplicity 18)
3 C 0.0000 0.5000 0.5000 (multiplicity 9)
4 Se 0.0000 0.5000 0.0000 (multiplicity 9)
5 N 0.0000 0.0000 0.5000 (multiplicity 3)

The 6 most intense peaks (10 to 90 degrees two-theta), in order of rising 2θ:
| 2θ (°) | I/Imax | h k l |
| --- | --- | --- |
| 29.59 | 63 | 2 0 2 |
| 33.73 | 100 | 0 2 4 |
| 36.57 | 24 | 2 0 5 |
| 47.17 | 25 | 2 0 8 |
| 49.70 | 38 | 2 2 0 |
| 67.01 | 19 | 2 2 9 |


5.
The following is a simulated X-ray diffraction stick pattern of Tl3FePd. It was derived from a DFT-relaxed cell (GGA-PBE, Alexandria), using Cu Kα X-rays.
No peak broadening, texture or thermal motion is included.

Crystal structure
a = 5.045 Å, b = 5.045 Å, c = 5.045 Å
α = 90.00°, β = 90.00°, γ = 90.00°
Space group Pm-3m (No. 221)
One atom of each set of equivalent atoms:
1 Tl 0.000 0.000 0.500 (multiplicity 3)
2 Fe 0.000 0.000 0.000 (multiplicity 1)
3 Pd 0.500 0.500 0.500 (multiplicity 1)

The 6 most intense peaks (10 to 90 degrees two-theta), in order of rising 2θ:
| 2θ (°) | I/Imax | h k l |
| --- | --- | --- |
| 30.70 | 100 | 1 1 1 |
| 35.59 | 71 | 2 0 0 |
| 51.22 | 51 | 2 2 0 |
| 60.91 | 44 | 3 1 1 |
| 83.53 | 19 | 3 3 1 |
| 86.22 | 24 | 4 2 0 |


6.
The following is a simulated X-ray diffraction stick pattern of AlAg2P. It was derived from a DFT-relaxed cell (GGA-PBE, Alexandria), using Cu Kα X-rays.
No peak broadening, texture or thermal motion is included.

Crystal structure
a = 4.076 Å, b = 4.076 Å, c = 8.176 Å
α = 90.00°, β = 90.00°, γ = 90.00°
Space group I-4m2 (No. 119)
One atom of each set of equivalent atoms:
1 Al 0.000 0.000 0.000 (multiplicity 2)
2 Ag 0.000 0.000 0.500 (multiplicity 2)
3 Ag 0.000 0.500 0.250 (multiplicity 2)
4 P 0.000 0.500 0.750 (multiplicity 2)

The 6 most intense peaks (10 to 90 degrees two-theta), in order of rising 2θ:
| 2θ (°) | I/Imax | h k l |
| --- | --- | --- |
| 24.40 | 56 | 1 0 1 |
| 38.20 | 100 | 1 1 2 |
| 44.31 | 16 | 0 0 4 |
| 44.45 | 32 | 2 0 0 |
| 64.57 | 20 | 2 0 4 |
| 77.67 | 23 | 3 1 2 |